No. 1
SrLaB12: simulated powder diffraction line list (Cu Kα), based on a cell relaxed with PBE.
Lines closer than 0.1° are merged.

Structure:
Cell lengths 5.901, 5.901, 5.901 Å; angles 60.00, 60.00, 60.00 degrees
Fractional positions:
Sr 0.000 0.000 0.000
La 0.500 0.500 0.500
B 0.101 0.101 0.399
B 0.101 0.399 0.101
B 0.101 0.399 0.399
B 0.399 0.101 0.101
B 0.399 0.101 0.399
B 0.399 0.399 0.101
B 0.601 0.601 0.899
B 0.601 0.899 0.601
B 0.601 0.899 0.899
B 0.899 0.601 0.601
B 0.899 0.601 0.899
B 0.899 0.899 0.601

Largest 12 diffraction maxima, in order of rising 2θ, 5° ≤ 2θ ≤ 70°:
2θ 18.41, I = 9; 2θ 21.29, I = 53; 2θ 30.29, I = 100; 2θ 35.68, I = 5; 2θ 37.33, I = 43; 2θ 43.37, I = 22; 2θ 47.49, I = 2; 2θ 48.80, I = 48; 2θ 53.81, I = 24; 2θ 57.37, I = 2; 2θ 63.01, I = 9; 2θ 67.32, I = 29


No. 2
Pm2Er8Tm3: simulated powder diffraction line list (Cu Kα), based on a cell relaxed with PBE.
Lines closer than 0.1° are merged.

Structure:
Cell lengths 10.969, 10.969, 5.484 Å; angles 90.00, 90.00, 139.90 degrees
Fractional positions:
Pm 0.241 0.759 0.000
Pm 0.759 0.241 0.000
Er 0.129 0.871 0.500
Er 0.179 0.393 0.000
Er 0.339 0.661 0.500
Er 0.393 0.179 0.000
Er 0.607 0.821 0.000
Er 0.661 0.339 0.500
Er 0.821 0.607 0.000
Er 0.871 0.129 0.500
Tm 0.000 0.000 0.000
Tm 0.284 0.284 0.500
Tm 0.716 0.716 0.500

Largest 12 diffraction maxima, in order of rising 2θ, 5° ≤ 2θ ≤ 70°:
2θ 25.21, I = 17; 2θ 29.60, I = 26; 2θ 30.71, I = 29; 2θ 32.66, I = 37; 2θ 33.73, I = 100; 2θ 34.83, I = 14; 2θ 41.70, I = 11; 2θ 48.45, I = 19; 2θ 58.97, I = 21; 2θ 59.62, I = 9; 2θ 64.78, I = 9; 2θ 68.58, I = 9


No. 3
SmH2Br: simulated powder diffraction line list (Cu Kα), based on a cell relaxed with PBE.
Lines closer than 0.1° are merged.

Structure:
Cell lengths 3.863, 3.863, 10.727 Å; angles 90.00, 90.00, 120.00 degrees
Fractional positions:
Sm 0.333 0.667 0.346
Sm 0.667 0.333 0.654
H 0.000 0.000 0.365
H 0.000 0.000 0.635
H 0.333 0.667 0.560
H 0.667 0.333 0.440
Br 0.333 0.667 0.837
Br 0.667 0.333 0.163

Largest 12 diffraction maxima, in order of rising 2θ, 5° ≤ 2θ ≤ 70°:
2θ 8.24, I = 20; 2θ 16.53, I = 18; 2θ 26.64, I = 29; 2θ 27.94, I = 9; 2θ 31.52, I = 100; 2θ 33.41, I = 10; 2θ 43.24, I = 32; 2θ 47.04, I = 25; 2θ 57.73, I = 18; 2θ 58.54, I = 8; 2θ 58.93, I = 12; 2θ 65.80, I = 9


No. 4
SrGaSb2: simulated powder diffraction line list (Cu Kα), based on a cell relaxed with PBE.
Lines closer than 0.1° are merged.

Structure:
Cell lengths 6.596, 6.893, 12.289 Å; angles 90.00, 113.75, 90.00 degrees
Fractional positions:
Sr 0.170 0.237 0.130
Sr 0.170 0.763 0.630
Sr 0.830 0.237 0.370
Sr 0.830 0.763 0.870
Ga 0.297 0.097 0.885
Ga 0.297 0.903 0.385
Ga 0.703 0.097 0.615
Ga 0.703 0.903 0.115
Sb 0.128 0.269 0.670
Sb 0.128 0.731 0.170
Sb 0.378 0.288 0.435
Sb 0.378 0.712 0.935
Sb 0.622 0.288 0.065
Sb 0.622 0.712 0.565
Sb 0.872 0.269 0.830
Sb 0.872 0.731 0.330

Largest 12 diffraction maxima, in order of rising 2θ, 5° ≤ 2θ ≤ 70°:
2θ 23.24, I = 32; 2θ 25.85, I = 100; 2θ 27.07, I = 43; 2θ 27.33, I = 98; 2θ 29.14, I = 53; 2θ 31.82, I = 33; 2θ 32.42, I = 53; 2θ 36.72, I = 45; 2θ 37.97, I = 60; 2θ 39.15, I = 39; 2θ 39.34, I = 43; 2θ 47.51, I = 35


No. 5
Pr2Sm6Y: simulated powder diffraction line list (Cu Kα), based on a cell relaxed with PBE.
Lines closer than 0.1° are merged.

Structure:
Cell lengths 10.525, 10.525, 6.246 Å; angles 91.75, 91.75, 117.58 degrees
Fractional positions:
Pr 0.168 0.332 0.000
Pr 0.332 0.168 0.500
Pr 0.668 0.832 0.500
Pr 0.832 0.668 0.000
Sm 0.003 0.834 0.500
Sm 0.083 0.583 0.752
Sm 0.166 0.997 0.000
Sm 0.334 0.503 0.499
Sm 0.417 0.917 0.748
Sm 0.497 0.666 0.001
Sm 0.503 0.334 0.999
Sm 0.583 0.083 0.252
Sm 0.666 0.497 0.501
Sm 0.834 0.003 0.000
Sm 0.917 0.417 0.248
Sm 0.997 0.166 0.500
Y 0.250 0.750 0.250
Y 0.750 0.250 0.750

Largest 12 diffraction maxima, in order of rising 2θ, 5° ≤ 2θ ≤ 70°:
2θ 29.62, I = 50; 2θ 29.77, I = 58; 2θ 30.34, I = 47; 2θ 31.53, I = 100; 2θ 32.86, I = 13; 2θ 35.01, I = 32; 2θ 38.62, I = 25; 2θ 46.11, I = 15; 2θ 49.49, I = 12; 2θ 53.96, I = 22; 2θ 54.34, I = 21; 2θ 59.28, I = 15


No. 6
Cs2GaAs: simulated powder diffraction line list (Cu Kα), based on a cell relaxed with PBE.
Lines closer than 0.1° are merged.

Structure:
Cell lengths 7.947, 7.947, 10.327 Å; angles 90.00, 90.00, 93.96 degrees
Fractional positions:
Cs 0.001 0.499 0.750
Cs 0.003 0.997 0.824
Cs 0.497 0.503 0.324
Cs 0.499 0.001 0.250
Cs 0.501 0.999 0.750
Cs 0.503 0.497 0.676
Cs 0.997 0.003 0.176
Cs 0.999 0.501 0.250
Ga 0.136 0.864 0.498
Ga 0.364 0.636 0.998
Ga 0.636 0.364 0.002
Ga 0.864 0.136 0.502
As 0.186 0.186 0.500
As 0.314 0.314 0.000
As 0.686 0.686 0.000
As 0.814 0.814 0.500

Largest 12 diffraction maxima, in order of rising 2θ, 5° ≤ 2θ ≤ 70°:
2θ 22.43, I = 47; 2θ 23.04, I = 17; 2θ 25.90, I = 14; 2θ 28.26, I = 59; 2θ 28.38, I = 100; 2θ 30.78, I = 20; 2θ 33.04, I = 25; 2θ 35.05, I = 35; 2θ 35.45, I = 15; 2θ 49.24, I = 23; 2θ 50.18, I = 24; 2θ 50.34, I = 20


No. 7
GaHgPd5: simulated powder diffraction line list (Cu Kα), based on a cell relaxed with PBE.
Lines closer than 0.1° are merged.

Structure:
Cell lengths 4.660, 4.660, 5.830 Å; angles 90.00, 90.00, 104.74 degrees
Fractional positions:
Ga 0.000 0.000 0.000
Hg 0.500 0.500 0.500
Pd 0.000 0.500 0.243
Pd 0.000 0.500 0.757
Pd 0.500 0.000 0.243
Pd 0.500 0.000 0.757
Pd 0.500 0.500 0.000

Largest 12 diffraction maxima, in order of rising 2θ, 5° ≤ 2θ ≤ 70°:
2θ 19.70, I = 46; 2θ 24.97, I = 25; 2θ 36.72, I = 20; 2θ 39.39, I = 96; 2θ 40.00, I = 100; 2θ 42.95, I = 6; 2θ 44.50, I = 68; 2θ 49.39, I = 25; 2θ 51.18, I = 12; 2θ 63.87, I = 11; 2θ 65.62, I = 11; 2θ 68.64, I = 37


No. 8
V4CrRu3: simulated powder diffraction line list (Cu Kα), based on a cell relaxed with PBE.
Lines closer than 0.1° are merged.

Structure:
Cell lengths 2.976, 4.243, 8.432 Å; angles 90.00, 90.00, 90.00 degrees
Fractional positions:
V 0.000 0.000 0.000
V 0.000 0.000 0.500
V 0.000 0.500 0.235
V 0.000 0.500 0.765
Cr 0.500 0.500 0.000
Ru 0.500 0.000 0.251
Ru 0.500 0.000 0.749
Ru 0.500 0.500 0.500

Largest 12 diffraction maxima, in order of rising 2θ, 5° ≤ 2θ ≤ 70°:
2θ 10.49, I = 3; 2θ 20.94, I = 1; 2θ 29.88, I = 9; 2θ 30.03, I = 5; 2θ 31.87, I = 2; 2θ 38.44, I = 2; 2θ 42.61, I = 21; 2θ 42.88, I = 100; 2θ 53.01, I = 2; 2θ 53.25, I = 2; 2θ 62.07, I = 12; 2θ 62.41, I = 6


- What is the formula in the fifth record?
  Pr2Sm6Y